Computed powder diffraction line list of Tb7Y3Tm2 for Cu Kα (λ = 1.5418 Å), from a structure optimized by DFT (PBE).
Intensities are scaled so that the largest is 100.

Main lines, sorted by position (2θ = 10–90°):
(0 0 6), 28.8°, I = 34; (1 1 -2), 30.7°, I = 31; (2 0 -1), 31.1°, I = 67; (1 1 2), 31.3°, I = 100; (0 1 4), 31.6°, I = 26; (1 0 -6), 31.9°, I = 56; (1 1 -3), 32.4°, I = 21; (1 0 6), 33.7°, I = 40; (1 1 -4), 34.7°, I = 41; (0 2 0), 51.1°, I = 23

Cell and atoms:
Unit cell a=5.779 b=3.575 c=18.640 alpha=90.00 beta=93.60 gamma=90.00
Space group P2/m (No. 10)
Unique sites:
Tb (0.000, 0.000, 0.000) (multiplicity 1)
Tb (0.185, 0.500, 0.180) (multiplicity 2)
Tb (0.258, 0.500, 0.536) (multiplicity 2)
Tb (0.316, 0.000, 0.855) (multiplicity 2)
Y (0.220, 0.000, 0.367) (multiplicity 2)
Y (0.500, 0.500, 0.000) (multiplicity 1)
Tm (0.292, 0.500, 0.705) (multiplicity 2)

Computed powder diffraction line list of AcTbSbS for Cu Kα (λ = 1.5418 Å), from a structure optimized by DFT (PBE).
Intensities are scaled so that the largest is 100.

Main lines, sorted by position (2θ = 10–90°):
(1 0 2), 24.8°, I = 100; (1 1 1), 26.5°, I = 36; (1 1 2), 30.6°, I = 62; (2 0 0), 35.7°, I = 57; (1 0 4), 39.4°, I = 15; (1 1 4), 43.5°, I = 41; (2 1 2), 43.9°, I = 44; (2 2 0), 51.4°, I = 20; (3 1 2), 61.0°, I = 20; (3 1 4), 69.5°, I = 21

Cell and atoms:
Unit cell a=5.030 b=5.030 c=10.275 alpha=90.00 beta=90.00 gamma=90.00
Space group P4/nmm (No. 129, origin choice 2)
Unique sites:
Ac (0.250, 0.250, 0.145) (multiplicity 2)
Tb (0.250, 0.750, 0.500) (multiplicity 2)
Sb (0.250, 0.250, 0.676) (multiplicity 2)
S (0.250, 0.750, 0.000) (multiplicity 2)

Computed powder diffraction line list of Cs3MgCu2Cl6 for Cu Kα (λ = 1.5418 Å), from a structure optimized by DFT (PBE).
Intensities are scaled so that the largest is 100.

Main lines, sorted by position (2θ = 10–90°):
(1 0 1), 17.1°, I = 42; (1 1 0), 23.9°, I = 100; (0 1 2), 24.5°, I = 72; (0 2 1), 29.5°, I = 55; (0 0 3), 30.4°, I = 28; (2 0 2), 34.5°, I = 77; (1 1 3), 39.1°, I = 24; (1 2 2), 42.4°, I = 36; (2 2 0), 49.0°, I = 34; (2 2 3), 58.8°, I = 23

Cell and atoms:
Unit cell a=7.4340 b=7.4340 c=8.8083 alpha=90.00 beta=90.00 gamma=120.00
Space group P-3m1 (No. 164)
Unique sites:
Cs (0.0000, 0.0000, 0.0000) (multiplicity 1)
Cs (0.3333, 0.6667, 0.6740) (multiplicity 2)
Mg (0.0000, 0.0000, 0.5000) (multiplicity 1)
Cu (0.3333, 0.6667, 0.2606) (multiplicity 2)
Cl (0.1595, 0.3189, 0.3223) (multiplicity 6)

Computed powder diffraction line list of Tm8Sb2Te3 for Cu Kα (λ = 1.5418 Å), from a structure optimized by DFT (PBE).
Intensities are scaled so that the largest is 100.

Main lines, sorted by position (2θ = 10–90°):
(2 2 -1), 27.7°, I = 96; (2 2 1), 28.4°, I = 43; (2 0 -2), 28.8°, I = 34; (2 0 2), 30.2°, I = 92; (3 1 -2), 33.7°, I = 89; (4 2 -1), 35.3°, I = 100; (4 2 1), 36.5°, I = 67; (0 2 3), 45.9°, I = 39; (2 2 -3), 47.2°, I = 30; (5 5 0), 64.5°, I = 33

Cell and atoms:
Unit cell a=14.029 b=8.436 c=6.721 alpha=90.00 beta=93.27 gamma=90.00
Space group C2/m (No. 12)
Unique sites:
Tm (0.106, 0.000, 0.377) (multiplicity 4)
Tm (0.121, 0.207, 0.862) (multiplicity 8)
Tm (0.167, 0.500, 0.343) (multiplicity 4)
Sb (0.241, 0.500, 0.903) (multiplicity 4)
Te (0.000, 0.290, 0.500) (multiplicity 4)
Te (0.000, 0.500, 0.000) (multiplicity 2)

Computed powder diffraction line list of Nd2Ga5Cu for Cu Kα (λ = 1.5418 Å), from a structure optimized by DFT (PBE).
Intensities are scaled so that the largest is 100.

Main lines, sorted by position (2θ = 10–90°):
(1 1 2), 28.7°, I = 28; (2 0 2), 35.6°, I = 100; (0 0 4), 40.1°, I = 15; (2 2 0), 41.9°, I = 40; (1 1 4), 45.5°, I = 13; (2 2 4), 59.4°, I = 17; (4 0 0), 60.8°, I = 12; (3 1 4), 63.6°, I = 11; (2 0 6), 69.9°, I = 14; (4 2 2), 72.5°, I = 20

Cell and atoms:
Unit cell a=6.096 b=6.096 c=8.996 alpha=90.00 beta=90.00 gamma=90.00
Space group I4mm (No. 107)
Unique sites:
Nd (0.000, 0.500, 0.000) (multiplicity 4)
Ga (0.000, 0.000, 0.037) (multiplicity 2)
Ga (0.225, 0.225, 0.753) (multiplicity 8)
Cu (0.000, 0.000, 0.358) (multiplicity 2)

Computed powder diffraction line list of Sm7Ho4Sc for Cu Kα (λ = 1.5418 Å), from a structure optimized by DFT (PBE).
Intensities are scaled so that the largest is 100.

Main lines, sorted by position (2θ = 10–90°):
(1 2 0), 28.9°, I = 31; (1 2 1), 29.5°, I = 27; (0 0 3), 31.2°, I = 51; (2 0 2), 31.9°, I = 100; (2 0 -1), 33.6°, I = 87; (3 2 1), 50.8°, I = 39; (2 0 5), 54.8°, I = 22; (2 0 -4), 58.1°, I = 18; (0 4 3), 60.8°, I = 45; (2 4 2), 61.3°, I = 15

Cell and atoms:
Unit cell a=6.229 b=7.184 c=8.860 alpha=89.96 beta=76.44 gamma=89.97
Space group P-1 (No. 2)
Unique sites:
Sm (0.000, 0.000, 0.000) (multiplicity 1)
Sm (0.219, 0.500, 0.332) (multiplicity 2)
Sm (0.277, 0.748, 0.668) (multiplicity 2)
Sm (0.499, 0.250, 0.999) (multiplicity 2)
Ho (0.223, 0.000, 0.336) (multiplicity 2)
Ho (0.276, 0.251, 0.669) (multiplicity 2)
Sc (0.000, 0.500, 0.000) (multiplicity 1)

Computed powder diffraction line list of Li7NpS6 for Cu Kα (λ = 1.5418 Å), from a structure optimized by DFT (PBE).
Intensities are scaled so that the largest is 100.

Main lines, sorted by position (2θ = 10–90°):
(0 0 3), 14.3°, I = 33; (1 0 1), 15.4°, I = 100; (0 1 2), 17.5°, I = 76; (1 0 4), 24.1°, I = 28; (0 1 5), 28.1°, I = 20; (1 1 3), 29.4°, I = 61; (1 1 6), 38.8°, I = 40; (2 1 1), 39.8°, I = 17; (3 0 0), 45.0°, I = 22; (2 -1 9), 51.3°, I = 18

Cell and atoms:
Unit cell a=6.9721 b=6.9721 c=18.6364 alpha=90.00 beta=90.00 gamma=120.00
Space group R3 (No. 146, hexagonal axes)
Unique sites:
Li (0.0000, 0.0000, 0.0000) (multiplicity 3)
Li (0.0055, 0.7097, 0.5560) (multiplicity 9)
Li (0.0084, 0.3686, 0.4577) (multiplicity 9)
Np (0.0000, 0.0000, 0.3402) (multiplicity 3)
S (0.0334, 0.6759, 0.0884) (multiplicity 9)
S (0.0397, 0.3431, 0.9253) (multiplicity 9)

Computed powder diffraction line list of LaDyMgPb for Cu Kα (λ = 1.5418 Å), from a structure optimized by DFT (PBE).
Intensities are scaled so that the largest is 100.

Main lines, sorted by position (2θ = 10–90°):
(1 1 1), 19.8°, I = 26; (2 2 0), 32.6°, I = 100; (3 1 1), 38.5°, I = 15; (4 0 0), 46.8°, I = 18; (3 3 1), 51.3°, I = 7; (4 2 2), 58.2°, I = 39; (5 1 1), 62.2°, I = 5; (4 4 0), 68.4°, I = 12; (5 3 1), 72.0°, I = 5; (6 2 0), 77.8°, I = 17

Cell and atoms:
Unit cell a=7.760 b=7.760 c=7.760 alpha=90.00 beta=90.00 gamma=90.00
Space group F-43m (No. 216)
Unique sites:
La (0.000, 0.000, 0.000) (multiplicity 4)
Dy (0.000, 0.000, 0.500) (multiplicity 4)
Mg (0.250, 0.250, 0.750) (multiplicity 4)
Pb (0.250, 0.250, 0.250) (multiplicity 4)

Copy entry 3 word for word.
Computed powder diffraction line list of Cs3MgCu2Cl6 for Cu Kα (λ = 1.5418 Å), from a structure optimized by DFT (PBE).
Intensities are scaled so that the largest is 100.

Main lines, sorted by position (2θ = 10–90°):
(1 0 1), 17.1°, I = 42; (1 1 0), 23.9°, I = 100; (0 1 2), 24.5°, I = 72; (0 2 1), 29.5°, I = 55; (0 0 3), 30.4°, I = 28; (2 0 2), 34.5°, I = 77; (1 1 3), 39.1°, I = 24; (1 2 2), 42.4°, I = 36; (2 2 0), 49.0°, I = 34; (2 2 3), 58.8°, I = 23

Cell and atoms:
Unit cell a=7.4340 b=7.4340 c=8.8083 alpha=90.00 beta=90.00 gamma=120.00
Space group P-3m1 (No. 164)
Unique sites:
Cs (0.0000, 0.0000, 0.0000) (multiplicity 1)
Cs (0.3333, 0.6667, 0.6740) (multiplicity 2)
Mg (0.0000, 0.0000, 0.5000) (multiplicity 1)
Cu (0.3333, 0.6667, 0.2606) (multiplicity 2)
Cl (0.1595, 0.3189, 0.3223) (multiplicity 6)